1.
# Zr3O
Theoretical X-ray diffraction stick pattern, λ = 1.5418 Å (Cu Kα). Input: a DFT-relaxed cell (GGA-PBE, the Materials Project).

Principal peaks in the range 10° ≤ 2θ ≤ 90°, low angle first:
31.57°, rel. 18.5; 34.26°, rel. 22.7; 36.04°, rel. 100.0; 47.28°, rel. 18.6; 56.22°, rel. 19.6; 62.51°, rel. 19.2; 67.51°, rel. 18.2; 68.62°, rel. 14.3; 76.44°, rel. 4.1; 88.99°, rel. 7.3

Structure:
Lattice parameters (Å, degrees): 5.668 5.668 5.235 90.00 90.00 120.00
Fractional positions:
Zr 0.000 0.338 0.000
Zr 0.000 0.662 0.500
Zr 0.338 0.000 0.000
Zr 0.338 0.338 0.500
Zr 0.662 0.000 0.500
Zr 0.662 0.662 0.000
O 0.333 0.667 0.250
O 0.667 0.333 0.750



2.
# Ga40Mo8S
Theoretical X-ray diffraction stick pattern, λ = 1.5418 Å (Cu Kα). Input: a DFT-relaxed cell (GGA-PBE, the Materials Project).

Principal peaks in the range 10° ≤ 2θ ≤ 90°, low angle first:
17.93°, rel. 24.6; 30.55°, rel. 20.0; 34.95°, rel. 40.7; 38.28°, rel. 37.3; 38.93°, rel. 38.9; 40.17°, rel. 100.0; 40.77°, rel. 18.8; 43.67°, rel. 18.5; 43.84°, rel. 18.2; 46.00°, rel. 69.8

Structure:
Lattice parameters (Å, degrees): 9.638 9.638 18.490 90.19 90.19 32.19
Fractional positions:
Ga 0.000 0.500 0.000
Ga 0.000 0.500 0.500
Ga 0.032 0.032 0.395
Ga 0.035 0.536 0.849
Ga 0.036 0.534 0.351
Ga 0.076 0.076 0.133
Ga 0.097 0.603 0.216
Ga 0.100 0.602 0.713
Ga 0.105 0.105 0.532
Ga 0.132 0.132 0.923
Ga 0.246 0.751 0.748
Ga 0.249 0.754 0.252
Ga 0.369 0.369 0.574
Ga 0.379 0.379 0.962
Ga 0.397 0.903 0.784
Ga 0.398 0.900 0.287
Ga 0.425 0.425 0.371
Ga 0.462 0.462 0.122
Ga 0.464 0.965 0.151
Ga 0.466 0.964 0.649
Ga 0.500 0.000 0.000
Ga 0.500 0.000 0.500
Ga 0.534 0.036 0.351
Ga 0.536 0.035 0.849
Ga 0.538 0.538 0.878
Ga 0.575 0.575 0.629
Ga 0.602 0.100 0.713
Ga 0.603 0.097 0.216
Ga 0.621 0.621 0.038
Ga 0.631 0.631 0.426
Ga 0.751 0.246 0.748
Ga 0.754 0.249 0.252
Ga 0.868 0.868 0.077
Ga 0.895 0.895 0.468
Ga 0.900 0.398 0.287
Ga 0.903 0.397 0.784
Ga 0.924 0.924 0.867
Ga 0.964 0.466 0.649
Ga 0.965 0.464 0.151
Ga 0.968 0.968 0.605
Mo 0.093 0.093 0.673
Mo 0.174 0.174 0.407
Mo 0.322 0.322 0.096
Mo 0.405 0.405 0.822
Mo 0.595 0.595 0.178
Mo 0.678 0.678 0.904
Mo 0.826 0.826 0.593
Mo 0.907 0.907 0.327
S 0.500 0.500 0.000



3.
# EuZr4SnO12
Theoretical X-ray diffraction stick pattern, λ = 1.5418 Å (Cu Kα). Input: a DFT-relaxed cell (GGA-PBE, the Materials Project).

Principal peaks in the range 10° ≤ 2θ ≤ 90°, low angle first:
19.01°, rel. 100.0; 31.04°, rel. 54.7; 31.27°, rel. 62.2; 31.53°, rel. 60.3; 36.43°, rel. 16.5; 44.09°, rel. 19.3; 44.86°, rel. 15.8; 55.21°, rel. 27.7; 55.70°, rel. 27.0; 56.12°, rel. 29.5

Structure:
Lattice parameters (Å, degrees): 8.216 5.676 5.676 89.21 90.00 90.00
Fractional positions:
Eu 0.000 0.000 0.000
Zr 0.244 0.016 0.508
Zr 0.244 0.508 0.016
Zr 0.756 0.016 0.508
Zr 0.756 0.508 0.016
Sn 0.500 0.538 0.538
O 0.000 0.073 0.439
O 0.000 0.439 0.073
O 0.202 0.729 0.729
O 0.224 0.195 0.828
O 0.224 0.828 0.195
O 0.328 0.359 0.359
O 0.500 0.499 0.888
O 0.500 0.888 0.499
O 0.672 0.359 0.359
O 0.776 0.195 0.828
O 0.776 0.828 0.195
O 0.798 0.729 0.729



4.
# Mn3Fe2N4
Theoretical X-ray diffraction stick pattern, λ = 1.5418 Å (Cu Kα). Input: a DFT-relaxed cell (GGA-PBE, the Materials Project).

Principal peaks in the range 10° ≤ 2θ ≤ 90°, low angle first:
16.52°, rel. 43.2; 33.39°, rel. 44.8; 34.51°, rel. 50.7; 37.18°, rel. 78.7; 38.03°, rel. 95.8; 46.99°, rel. 100.0; 50.49°, rel. 33.5; 51.07°, rel. 35.1; 56.06°, rel. 18.2; 60.88°, rel. 31.6

Structure:
Lattice parameters (Å, degrees): 6.223 6.223 5.238 93.56 93.56 60.38
Fractional positions:
Mn 0.173 0.827 0.750
Mn 0.226 0.414 0.556
Mn 0.414 0.226 0.056
Mn 0.586 0.774 0.944
Mn 0.774 0.586 0.444
Mn 0.827 0.173 0.250
Fe 0.000 0.314 0.874
Fe 0.000 0.686 0.126
Fe 0.314 0.000 0.374
Fe 0.686 0.000 0.626
N 0.026 0.253 0.523
N 0.245 0.524 0.894
N 0.253 0.026 0.023
N 0.476 0.755 0.606
N 0.524 0.245 0.394
N 0.747 0.974 0.977
N 0.755 0.476 0.106
N 0.974 0.747 0.477



5.
# Rb2Cd5As4
Theoretical X-ray diffraction stick pattern, λ = 1.5418 Å (Cu Kα). Input: a DFT-relaxed cell (GGA-PBE, the Materials Project).

Principal peaks in the range 10° ≤ 2θ ≤ 90°, low angle first:
13.94°, rel. 60.2; 27.82°, rel. 100.0; 30.39°, rel. 53.3; 31.15°, rel. 37.8; 31.42°, rel. 39.3; 31.55°, rel. 24.3; 35.32°, rel. 34.5; 37.24°, rel. 38.3; 41.43°, rel. 53.6; 46.69°, rel. 25.8

Structure:
Lattice parameters (Å, degrees): 7.432 7.432 12.748 90.00 90.00 63.15
Fractional positions:
Rb 0.209 0.209 0.000
Rb 0.209 0.209 0.500
Rb 0.791 0.791 0.000
Rb 0.791 0.791 0.500
Cd 0.007 0.993 0.750
Cd 0.234 0.473 0.750
Cd 0.350 0.650 0.106
Cd 0.350 0.650 0.394
Cd 0.473 0.234 0.250
Cd 0.527 0.766 0.750
Cd 0.650 0.350 0.606
Cd 0.650 0.350 0.894
Cd 0.766 0.527 0.250
Cd 0.993 0.007 0.250
As 0.091 0.597 0.250
As 0.276 0.724 0.600
As 0.276 0.724 0.900
As 0.403 0.909 0.250
As 0.597 0.091 0.750
As 0.724 0.276 0.100
As 0.724 0.276 0.400
As 0.909 0.403 0.750